Starting from a PBE-relaxed structure, the powder XRD pattern of Ba3PuO6 was simulated for CuKα.
Lines closer than 0.1° are merged.

Peak list (10 most intense, 10° ≤ 2θ ≤ 90°, sorted by position)
index  d/Å  2θ/deg  I (rel.)
1 1 1  5.309  16.70  8.1
2 0 0  4.598  19.30  6.2
2 2 0  3.251  27.43  100.0
3 1 1  2.773  32.29  3.4
4 0 0  2.299  39.19  28.2
4 2 2  1.877  48.50  42.1
4 4 0  1.626  56.62  18.4
6 2 0  1.454  64.04  19.7
4 4 4  1.327  71.02  6.1
6 4 2  1.229  77.71  22.8

Crystal structure
Cell: 9.1957 9.1957 9.1957 Å, 90.00 90.00 90.00°
Space group Fm-3m (No. 225)
Symmetry-distinct sites (fractional):
Ba: 0.0000 0.0000 0.0000 [4 per cell]
Ba: 0.2500 0.2500 0.2500 [8 per cell]
Pu: 0.0000 0.0000 0.5000 [4 per cell]
O: 0.0000 0.0000 0.2751 [24 per cell]